This entry pairs a crystal structure of Li3PaPd6 with its theoretical PXRD pattern. Radiation: Cu Kα, 1.54184 Å. Structure: the PBE geometry in Alexandria.
Neutral-atom scattering factors, no anomalous dispersion.

Structure:
abc: 8.0782 4.2646 9.2442
angles: 90.00 99.73 90.00
Atoms (fractional coordinates):
Li (0.0469, 0.2500, 0.3923)
Li (0.1489, 0.7500, 0.1760)
Li (0.2432, 0.2500, 0.9764)
Li (0.7568, 0.7500, 0.0236)
Li (0.8511, 0.2500, 0.8240)
Li (0.9531, 0.7500, 0.6077)
Pa (0.4299, 0.2500, 0.6287)
Pa (0.5701, 0.7500, 0.3713)
Pd (0.0332, 0.7500, 0.8972)
Pd (0.1131, 0.2500, 0.6901)
Pd (0.2306, 0.7500, 0.4770)
Pd (0.3329, 0.2500, 0.2839)
Pd (0.3337, 0.7500, 0.7892)
Pd (0.4419, 0.7500, 0.0882)
Pd (0.5581, 0.2500, 0.9118)
Pd (0.6663, 0.2500, 0.2108)
Pd (0.6671, 0.7500, 0.7161)
Pd (0.7694, 0.2500, 0.5230)
Pd (0.8869, 0.7500, 0.3099)
Pd (0.9668, 0.2500, 0.1028)

Top 8 peaks for 10° ≤ 2θ ≤ 90°, low angle first:
h k l, Position (°2θ), d (Å), I (rel.)
1 0 0, 11.11, 7.962, 60
0 1 2, 28.67, 3.113, 38
2 1 -1, 31.08, 2.877, 36
1 1 3, 39.61, 2.275, 100
3 1 -1, 39.81, 2.264, 96
2 0 -4, 42.25, 2.139, 36
0 2 0, 42.39, 2.132, 47
2 2 -4, 61.38, 1.510, 34